Pr2Dy2CBr3Cl2: theoretical XRD peak list (λ = 1.5418 Å (Cu Kα)), based on a GGA-PBE-relaxed structure.

Principal peaks in the range 5 to 70 degrees two-theta, by angle:
2theta	intensity
10.15	52
11.24	63
28.69	20
30.78	53
31.62	24
32.14	100
34.59	21
44.74	29
45.47	33
47.53	19

Crystal structure
```
Pr2Dy2CBr3Cl2
1.0
8.993 -1.913 0.000
8.993 1.913 0.000
-2.009 0.000 7.870
Pr Dy C Br Cl
2 2 1 3 2
Cartesian
2.456 0.000 0.652 Pr
13.521 0.000 7.217 Pr
8.594 0.000 1.595 Dy
7.383 0.000 6.275 Dy
0.000 0.000 0.000 C
-1.005 0.000 3.935 Br
5.637 0.000 1.507 Br
10.340 0.000 6.363 Br
4.893 0.000 5.146 Cl
11.084 0.000 2.724 Cl
```

=====

Pr2Dy2CBrCl4: theoretical XRD peak list (λ = 1.5418 Å (Cu Kα)), based on a GGA-PBE-relaxed structure.

Principal peaks in the range 5 to 70 degrees two-theta, by angle:
2theta	intensity
10.48	76
11.37	60
28.37	28
28.99	28
31.80	53
32.24	33
32.39	100
45.42	30
46.64	33
47.95	19

Crystal structure
```
Pr2Dy2CBrCl4
1.0
8.756 -1.897 0.000
8.756 1.897 0.000
-2.145 0.000 7.784
Pr Dy C Br Cl
2 2 1 1 4
Cartesian
2.438 0.000 0.694 Pr
12.928 0.000 7.090 Pr
8.312 0.000 1.585 Dy
7.055 0.000 6.199 Dy
0.000 0.000 0.000 C
-1.072 0.000 3.892 Br
5.513 0.000 1.348 Cl
4.592 0.000 5.015 Cl
10.774 0.000 2.769 Cl
9.853 0.000 6.436 Cl
```